(1)
# Sm2YHo5
Computed XRD peak list, Cu Kα (λ = 1.5418 Å). Input: a crystal structure in Alexandria, relaxed with PBE.
Neutral-atom scattering factors, no anomalous dispersion.

Principal peaks in the range 2θ from 10° to 80°, by angle:
- hkl 0 2 0, 7.116 Å, 12.4°, I = 1
- hkl 1 1 0, 6.365 Å, 13.9°, I = 1
- hkl 1 1 1, 3.944 Å, 22.5°, I = 1
- hkl 2 0 1, 2.903 Å, 30.8°, I = 100
- hkl 2 4 0, 2.514 Å, 35.7°, I = 51
- hkl 4 0 0, 1.778 Å, 51.4°, I = 36
- hkl 4 4 1, 1.516 Å, 61.1°, I = 43
- hkl 4 0 2, 1.452 Å, 64.2°, I = 12
- hkl 4 8 0, 1.258 Å, 75.6°, I = 4
- hkl 0 0 4, 1.256 Å, 75.7°, I = 2

Cell and atoms:
```
Sm2YHo5
1.0
7.116 0.000 0.000
0.000 14.233 0.000
0.000 0.000 5.023
Sm Y Ho
4 2 10
Direct
0.250 0.126 0.000
0.250 0.626 0.000
0.750 0.374 0.000
0.750 0.874 0.000
0.000 0.000 0.500
0.500 0.500 0.500
0.000 0.251 0.500
0.000 0.500 0.500
0.000 0.749 0.500
0.249 0.375 0.000
0.251 0.875 0.000
0.500 0.000 0.500
0.500 0.249 0.500
0.500 0.751 0.500
0.749 0.125 0.000
0.751 0.625 0.000
```

=====

(2)
# Sm8Y2Ho3
Computed XRD peak list, Cu Kα (λ = 1.5418 Å). Input: a crystal structure in Alexandria, relaxed with PBE.
Neutral-atom scattering factors, no anomalous dispersion.

Principal peaks in the range 2θ from 10° to 80°, by angle:
- hkl 2 0 0, 3.597 Å, 24.7°, I = 18
- hkl 1 1 2, 3.041 Å, 29.4°, I = 43
- hkl 0 1 3, 2.914 Å, 30.7°, I = 32
- hkl 0 2 0, 2.842 Å, 31.5°, I = 44
- hkl 2 1 1, 2.700 Å, 33.2°, I = 100
- hkl 0 0 4, 2.545 Å, 35.3°, I = 25
- hkl 0 2 4, 1.896 Å, 48.0°, I = 21
- hkl 2 3 1, 1.612 Å, 57.1°, I = 21
- hkl 3 2 3, 1.457 Å, 63.9°, I = 12
- hkl 5 1 0, 1.395 Å, 67.1°, I = 11

Cell and atoms:
```
Sm8Y2Ho3
1.0
7.691 0.000 0.000
0.000 5.684 0.000
-3.841 0.000 10.183
Sm Y Ho
8 2 3
Direct
0.101 0.000 0.289
0.169 0.500 0.838
0.313 0.000 0.711
0.369 0.500 0.238
0.631 0.500 0.762
0.687 0.000 0.289
0.831 0.500 0.162
0.899 0.000 0.711
0.260 0.000 0.019
0.740 0.000 0.981
0.214 0.500 0.500
0.500 0.000 0.500
0.786 0.500 0.500
```

=====

Question: Which formula does entry 1 have?
Answer: Sm2YHo5